Simulated powder diffractogram
Compound: Ho2AgRu
Radiation: λ = 1.5418 Å (Cu Kα)
Structure: a structure optimized by DFT (PBE)
No peak broadening, texture or thermal motion is included.

Principal peaks in the range 5 to 70 degrees two-theta, sorted by position:
| 2theta | intensity |
| --- | --- |
| 25.48 | 4.9 |
| 36.35 | 100.0 |
| 44.91 | 1.6 |
| 52.35 | 17.4 |
| 59.10 | 2.3 |
| 65.40 | 35.3 |

```
data_Ho2AgRu
_cell_length_a 4.9435
_cell_length_b 4.9435
_cell_length_c 4.9435
_cell_angle_alpha 60.00
_cell_angle_beta 60.00
_cell_angle_gamma 60.00
_space_group_name_H-M_alt 'P 1'
_space_group_IT_number 1
loop_
_space_group_symop_operation_xyz
'x,y,z'
loop_
_atom_site_label
_atom_site_type_symbol
_atom_site_fract_x
_atom_site_fract_y
_atom_site_fract_z
_atom_site_occupancy
Ho1 Ho 0.2500 0.2500 0.2500 1
Ho2 Ho 0.7500 0.7500 0.7500 1
Ag1 Ag 0.0000 0.0000 0.0000 1
Ru1 Ru 0.5000 0.5000 0.5000 1
```